# 1
BaSi2B2O8: calculated X-ray diffraction stick pattern (Cu Kα), based on a cell relaxed with GGA-PBE.
No peak broadening, texture or thermal motion is included.

Structural model:
```
data_BaSi2B2O8
_chemical_formula_sum 'Ba4 Si8 B8 O32'
_space_group_name_H-M_alt 'P n m a'
_space_group_IT_number 62
_space_group_name_Hall '-P 2ac 2n'
_cell_length_a 8.3128
_cell_length_b 8.2670
_cell_length_c 9.1595
_cell_angle_alpha 90.00
_cell_angle_beta 90.00
_cell_angle_gamma 90.00
loop_
_atom_site_label
_atom_site_type_symbol
_atom_site_fract_x
_atom_site_fract_y
_atom_site_fract_z
Ba1 Ba 0.1084 0.2500 0.0814
Si1 Si 0.0743 0.0654 0.6891
B1 B 0.2257 0.0860 0.4097
O1 O 0.0015 0.2500 0.6899
O2 O 0.0709 0.0637 0.3349
O3 O 0.1483 0.0288 0.8518
O4 O 0.2143 0.7500 0.8814
O5 O 0.2157 0.0436 0.5670
```

Peak list (10 most intense, 10 to 90 degrees two-theta, sorted by position)
- 14.41°, rel. 55
- 23.96°, rel. 100
- 24.67°, rel. 74
- 25.96°, rel. 70
- 31.23°, rel. 58
- 32.06°, rel. 35
- 35.55°, rel. 32
- 35.70°, rel. 28
- 42.77°, rel. 26
- 44.06°, rel. 38



# 2
BaBSbS4: calculated X-ray diffraction stick pattern (Cu Kα), based on a cell relaxed with GGA-PBE.
No peak broadening, texture or thermal motion is included.

Structural model:
```
data_BaBSbS4
_chemical_formula_sum 'Ba4 B4 Sb4 S16'
_space_group_name_H-M_alt 'P n m a'
_space_group_IT_number 62
_space_group_name_Hall '-P 2ac 2n'
_cell_length_a 9.9533
_cell_length_b 6.2639
_cell_length_c 11.8980
_cell_angle_alpha 90.00
_cell_angle_beta 90.00
_cell_angle_gamma 90.00
loop_
_atom_site_label
_atom_site_type_symbol
_atom_site_fract_x
_atom_site_fract_y
_atom_site_fract_z
Ba1 Ba 0.0160 0.2500 0.1670
B1 B 0.1922 0.7500 0.4505
Sb1 Sb 0.1899 0.2500 0.5403
S1 S 0.0753 0.7500 0.0914
S2 S 0.1699 0.7500 0.6001
S3 S 0.2078 0.5024 0.3716
```

Peak list (10 most intense, 10 to 90 degrees two-theta, sorted by position)
- 15.99°, rel. 43
- 18.32°, rel. 62
- 22.46°, rel. 49
- 23.30°, rel. 54
- 24.03°, rel. 65
- 24.16°, rel. 56
- 27.92°, rel. 100
- 28.50°, rel. 55
- 33.57°, rel. 59
- 37.70°, rel. 48



# 3
BaB2Se6: calculated X-ray diffraction stick pattern (Cu Kα), based on a cell relaxed with GGA-PBE.
No peak broadening, texture or thermal motion is included.

Structural model:
```
data_BaB2Se6
_chemical_formula_sum 'Ba4 B8 Se24'
_space_group_name_H-M_alt 'C m c e'
_space_group_IT_number 64
_space_group_name_Hall '-C 2ac 2'
_cell_length_a 11.4764
_cell_length_b 7.7803
_cell_length_c 10.6406
_cell_angle_alpha 90.00
_cell_angle_beta 90.00
_cell_angle_gamma 90.00
loop_
_atom_site_label
_atom_site_type_symbol
_atom_site_fract_x
_atom_site_fract_y
_atom_site_fract_z
Ba1 Ba 0.0000 0.0000 0.0000
B1 B 0.1133 0.0000 0.5000
Se1 Se 0.0000 0.0992 0.3647
Se2 Se 0.2075 0.1847 0.5920
```

Peak list (10 most intense, 10 to 90 degrees two-theta, sorted by position)
- 16.66°, rel. 84
- 27.70°, rel. 100
- 28.73°, rel. 70
- 28.97°, rel. 64
- 31.00°, rel. 87
- 31.17°, rel. 49
- 32.50°, rel. 39
- 36.46°, rel. 70
- 37.73°, rel. 50
- 54.08°, rel. 75